Structure and simulated powder diffractogram of DyY2Tm2Lu2Ni2Te2 (a DFT-relaxed cell (GGA-PBE, OQMD); λ = 1.5418 Å (Cu Kα)).
Lines closer than 0.1° are merged.

Atomic structure:
a = 3.825 Å, b = 15.439 Å, c = 9.491 Å
α = 90.00°, β = 90.00°, γ = 90.00°
Space group Imm2 (No. 44)
Symmetry-distinct sites (fractional):
1 Dy 0.000 0.000 0.000 (multiplicity 2)
2 Y 0.000 0.132 0.419 (multiplicity 4)
3 Tm 0.000 0.314 0.621 (multiplicity 4)
4 Lu 0.000 0.352 0.272 (multiplicity 4)
5 Ni 0.000 0.235 0.928 (multiplicity 4)
6 Te 0.000 0.000 0.668 (multiplicity 2)
7 Te 0.000 0.500 0.764 (multiplicity 2)

The 6 most intense peaks (15 to 90 degrees two-theta), by angle:
hkl 1 3 0, 2θ = 29.09°, rel. 49; hkl 1 1 2, 2θ = 30.57°, rel. 54; hkl 0 3 3, 2θ = 33.24°, rel. 91; hkl 1 4 1, 2θ = 34.33°, rel. 100; hkl 0 6 0, 2θ = 34.83°, rel. 74; hkl 1 0 3, 2θ = 36.87°, rel. 38